1.
Theoretical X-ray diffraction stick pattern of Cs3TiI8 for Cu Kα, from a DFT-relaxed cell (GGA-PBE, Alexandria).
Lines closer than 0.1° are merged.

Crystal structure
a b c (Å): 8.591 8.591 16.883
angles (deg): 90.00 90.00 90.00
Space group I4/mmm (No. 139)
One atom of each set of equivalent atoms:
Cs (0.000, 0.000, 0.000) x2
Cs (0.000, 0.500, 0.250) x4
Ti (0.000, 0.000, 0.500) x2
I (0.208, 0.208, 0.394) x16

Principal peaks in the range 2θ from 10° to 80°, sorted by position:
2θ 17.99, I = 49, hkl 1 1 2; 2θ 20.68, I = 16, hkl 2 0 0; 2θ 23.75, I = 17, hkl 2 1 1; 2θ 29.41, I = 50, hkl 2 2 0; 2θ 29.67, I = 100, hkl 2 0 4; 2θ 31.69, I = 24, hkl 3 0 1; 2θ 34.69, I = 14, hkl 3 1 2; 2θ 38.18, I = 20, hkl 2 0 6; 2θ 46.66, I = 19, hkl 3 2 5; 2θ 52.33, I = 18, hkl 4 2 4

***

2.
Theoretical X-ray diffraction stick pattern of BaLi3As2 for Cu Kα, from a DFT-relaxed cell (GGA-PBE, Alexandria).
Lines closer than 0.1° are merged.

Crystal structure
a b c (Å): 16.005 4.494 7.965
angles (deg): 90.00 114.25 90.00
Space group C2/m (No. 12)
One atom of each set of equivalent atoms:
Ba (0.151, 0.000, 0.083) x4
Li (0.027, 0.000, 0.350) x4
Li (0.102, 0.500, 0.689) x4
Li (0.184, 0.500, 0.452) x4
As (0.019, 0.500, 0.170) x4
As (0.176, 0.000, 0.658) x4

Principal peaks in the range 2θ from 10° to 80°, sorted by position:
2θ 12.19, I = 44, hkl 0 0 1; 2θ 22.43, I = 19, hkl 2 0 -2; 2θ 26.59, I = 26, hkl 4 0 -2; 2θ 27.01, I = 100, hkl 3 1 0; 2θ 30.25, I = 49, hkl 1 1 -2; 2θ 31.70, I = 29, hkl 2 0 2; 2θ 36.53, I = 25, hkl 5 1 -2; 2θ 40.13, I = 22, hkl 0 2 0; 2θ 40.50, I = 21, hkl 1 1 -3; 2θ 48.77, I = 22, hkl 6 0 -4